Pm5Sc2Sb4: computed X-ray diffraction stick pattern (CuKα), based on a crystal structure in Alexandria, relaxed with PBE.
No peak broadening, texture or thermal motion is included.

Crystal structure
```
data_Pm5Sc2Sb4
_cell_length_a 21.796
_cell_length_b 4.180
_cell_length_c 8.065
_cell_angle_alpha 90.00
_cell_angle_beta 111.66
_cell_angle_gamma 90.00
_space_group_name_H-M_alt 'C 1 2/m 1'
_space_group_IT_number 12
_space_group_name_Hall '-C 2y'
loop_
_atom_site_label
_atom_site_fract_x
_atom_site_fract_y
_atom_site_fract_z
_atom_site_occupancy
Pm1 0.000 0.000 0.000 1
Pm2 0.159 0.500 0.930 1
Pm3 0.160 0.500 0.390 1
Sc1 0.071 0.000 0.572 1
Sb1 0.000 0.500 0.290 1
Sb2 0.213 0.000 0.714 1
```

Top 10 peaks for 2θ from 5° to 70°, by angle:
two_theta	I (rel.)	h k l
25.6	41	1 1 1
26.4	41	6 0 0
28.3	18	6 0 -2
31.1	100	3 1 -2
34.7	31	4 0 2
36.0	30	6 0 -3
37.8	34	7 1 0
38.1	43	3 1 2
43.3	35	0 2 0
45.0	18	4 0 -4